# SmFe2
Computed X-ray powder pattern, copper Kα. Input: a GGA-PBE-relaxed structure.

a = 5.2110 Å, b = 5.2110 Å, c = 5.2110 Å
α = 60.00°, β = 60.00°, γ = 60.00°
Sites, in units of the cell vectors:
1 Sm 0.1250 0.1250 0.1250
2 Sm 0.8750 0.8750 0.8750
3 Fe 0.0000 0.5000 0.5000
4 Fe 0.5000 0.0000 0.5000
5 Fe 0.5000 0.5000 0.0000
6 Fe 0.5000 0.5000 0.5000

Principal peaks in the range 5° ≤ 2θ ≤ 70°, most intense first:
Position (°2θ)  d_spacing  intensity
40.60  2.222  100
34.42  2.606  65
65.85  1.418  31
61.66  1.504  24
42.49  2.127  15
20.88  4.255  14
54.26  1.691  4
49.47  1.842  1